For Na2SO4, a PBE-relaxed structure gives the simulated X-ray diffraction stick pattern in this record (copper Kα).
Neutral-atom scattering factors, no anomalous dispersion.

Peak list (6 most intense, 2θ = 10–90°, low angle first)
hkl, 2θ (°), I_rel
0 0 1, 12.0, 93
0 1 0, 14.4, 48
1 0 0, 18.1, 100
1 -1 0, 21.2, 100
1 0 1, 24.4, 66
1 0 -2, 26.1, 54

Structure:
```
14
Lattice="5.113 0.000 0.000 -0.668 6.366 0.000 -1.852 -2.029 7.356" Properties=species:S:1:pos:R:3 pbc="T T T"
Na 0.000 0.000 0.000
Na -1.574 1.987 5.124
Na 0.554 3.826 2.027
Na 1.099 1.371 6.983
S -0.364 -1.068 4.816
S 1.064 0.762 2.972
O -1.952 2.204 7.284
O -0.346 0.174 3.669
O -0.683 4.080 4.084
O 0.503 1.429 1.792
O 0.589 -0.669 5.848
O 1.905 -0.376 2.682
O 1.578 1.722 3.946
O 3.360 -1.000 5.231
```